[1]
This entry pairs a crystal structure of Dy6ErTh3 with its calculated powder XRD pattern. Radiation: Cu Kα X-rays. Structure: a GGA-PBE-relaxed structure.
Peak positions follow from Bragg's law for the DFT cell and can differ from measured ones.

Structural model:
Unit cell a=9.8291 b=9.8291 c=11.9687 alpha=90.00 beta=90.00 gamma=120.00
Space group R-3 (No. 148, hexagonal axes)
Unique sites:
Dy (0.0015, 0.6660, 0.4155)
Er (0.0000, 0.0000, 0.0000)
Th (0.0000, 0.0000, 0.2491)
Th (0.0000, 0.0000, 0.5000)

Principal peaks in the range 2θ = 15–90°, in order of falling intensity:
2θ 31.53, 2.837 Å, rel. 100, (3 0 0); 2θ 28.82, 3.097 Å, rel. 55, (2 -1 3); 2θ 31.70, 2.823 Å, rel. 22, (1 0 4); 2θ 41.20, 2.191 Å, rel. 21, (2 1 4); 2θ 56.15, 1.638 Å, rel. 20, (3 3 0); 2θ 54.49, 1.684 Å, rel. 19, (5 -1 3)



[2]
This entry pairs a crystal structure of Tb6Pm7Y16 with its calculated powder XRD pattern. Radiation: Cu Kα X-rays. Structure: a GGA-PBE-relaxed structure.
Peak positions follow from Bragg's law for the DFT cell and can differ from measured ones.

Structural model:
Unit cell a=15.7196 b=15.7196 c=15.7196 alpha=90.00 beta=90.00 gamma=90.00
Space group Fm-3m (No. 225)
Unique sites:
Tb (0.0000, 0.0000, 0.2236)
Pm (0.0000, 0.0000, 0.0000)
Pm (0.0000, 0.2500, 0.2500)
Y (0.1132, 0.1132, 0.3868)
Y (0.1495, 0.1495, 0.1495)

Principal peaks in the range 2θ = 15–90°, in order of falling intensity:
2θ 32.21, 2.779 Å, rel. 100, (4 4 0); 2θ 29.53, 3.025 Å, rel. 27, (5 1 1); 2θ 57.44, 1.604 Å, rel. 23, (8 4 4); 2θ 60.97, 1.520 Å, rel. 16, (9 5 1); 2θ 46.20, 1.965 Å, rel. 14, (8 0 0); 2θ 44.26, 2.047 Å, rel. 11, (5 5 3)



[3]
This entry pairs a crystal structure of Be2Co3C with its calculated powder XRD pattern. Radiation: Cu Kα X-rays. Structure: a GGA-PBE-relaxed structure.
Peak positions follow from Bragg's law for the DFT cell and can differ from measured ones.

Structural model:
Unit cell a=5.9725 b=5.9725 c=5.9725 alpha=90.00 beta=90.00 gamma=90.00
Space group P4_132 (No. 213)
Unique sites:
Be (0.0673, 0.0673, 0.0673)
Co (0.0547, 0.8750, 0.6953)
C (0.1250, 0.6250, 0.8750)

Principal peaks in the range 2θ = 15–90°, in order of falling intensity:
2θ 45.56, 1.991 Å, rel. 100, (2 2 1); 2θ 48.18, 1.889 Å, rel. 57, (3 1 0); 2θ 25.84, 3.448 Å, rel. 56, (1 1 1); 2θ 50.69, 1.801 Å, rel. 32, (3 1 1); 2θ 33.55, 2.671 Å, rel. 28, (2 1 0); 2θ 21.04, 4.223 Å, rel. 28, (1 1 0)